# 1
Calculated powder X-ray diffraction pattern
Compound: K5Mo2N5
Radiation: Cu Kα (λ = 1.5418 Å)
Structure: a GGA-PBE-relaxed structure
Intensities are scaled so that the largest is 100.

Largest 6 diffraction maxima, in order of falling intensity, 5° ≤ 2θ ≤ 70°:
2θ 10.89, d 8.127, intensity 100.0, (2 0 0)
2θ 30.61, d 2.920, intensity 52.7, (3 1 -1)
2θ 32.34, d 2.769, intensity 52.7, (1 1 2)
2θ 27.72, d 3.218, intensity 47.9, (2 0 -3)
2θ 25.27, d 3.524, intensity 30.1, (4 0 1)
2θ 9.11, d 9.710, intensity 29.1, (0 0 1)

Atomic structure:
```
data_K5Mo2N5
_symmetry_space_group_name_H-M 'C 1 2/m 1'
_symmetry_Int_Tables_number 12
_symmetry_space_group_name_Hall '-C 2y'
_cell_length_a 16.538
_cell_length_b 3.545
_cell_length_c 9.880
_cell_angle_alpha 90.00
_cell_angle_beta 100.63
_cell_angle_gamma 90.00
loop_
_atom_site_label
_atom_site_type_symbol
_atom_site_fract_x
_atom_site_fract_y
_atom_site_fract_z
K1 K 0.000 0.000 0.000
K2 K 0.125 0.000 0.450
K3 K 0.238 0.500 0.187
Mo1 Mo 0.038 0.500 0.697
N1 N 0.000 0.500 0.500
N2 N 0.051 0.500 0.228
N3 N 0.091 0.000 0.738
```

# 2
Calculated powder X-ray diffraction pattern
Compound: DyCoRhPb
Radiation: Cu Kα (λ = 1.5418 Å)
Structure: a GGA-PBE-relaxed structure
Intensities are scaled so that the largest is 100.

Largest 6 diffraction maxima, in order of falling intensity, 5° ≤ 2θ ≤ 70°:
2θ 38.28, d 2.351, intensity 100.0, (2 2 0)
2θ 69.21, d 1.357, intensity 34.9, (4 2 2)
2θ 55.25, d 1.663, intensity 17.2, (4 0 0)
2θ 26.81, d 3.325, intensity 16.8, (2 0 0)
2θ 62.46, d 1.487, intensity 7.2, (4 2 0)
2θ 47.35, d 1.920, intensity 5.2, (2 2 2)

Atomic structure:
```
data_DyCoRhPb
_symmetry_space_group_name_H-M 'F -4 3 m'
_symmetry_Int_Tables_number 216
_symmetry_space_group_name_Hall 'F -4 2 3'
_cell_length_a 6.650
_cell_length_b 6.650
_cell_length_c 6.650
_cell_angle_alpha 90.00
_cell_angle_beta 90.00
_cell_angle_gamma 90.00
loop_
_atom_site_label
_atom_site_type_symbol
_atom_site_fract_x
_atom_site_fract_y
_atom_site_fract_z
Dy1 Dy 0.000 0.000 0.000
Co1 Co 0.250 0.250 0.750
Rh1 Rh 0.250 0.250 0.250
Pb1 Pb 0.000 0.000 0.500
```

# 3
Calculated powder X-ray diffraction pattern
Compound: Nd2PdBr2
Radiation: Cu Kα (λ = 1.5418 Å)
Structure: a GGA-PBE-relaxed structure
Intensities are scaled so that the largest is 100.

Largest 6 diffraction maxima, in order of falling intensity, 5° ≤ 2θ ≤ 70°:
2θ 28.21, d 3.163, intensity 100.0, (0 1 5)
2θ 7.90, d 11.186, intensity 96.4, (0 0 3)
2θ 32.86, d 2.726, intensity 47.9, (0 1 8)
2θ 43.72, d 2.071, intensity 40.6, (1 1 0)
2θ 43.18, d 2.095, intensity 38.6, (1 0 13)
2θ 67.62, d 1.386, intensity 18.9, (1 1 18)

Atomic structure:
```
data_Nd2PdBr2
_symmetry_space_group_name_H-M 'R -3 m'
_symmetry_Int_Tables_number 166
_symmetry_space_group_name_Hall '-R 3 2"'
_cell_length_a 4.1412
_cell_length_b 4.1412
_cell_length_c 33.5588
_cell_angle_alpha 90.00
_cell_angle_beta 90.00
_cell_angle_gamma 120.00
loop_
_atom_site_label
_atom_site_type_symbol
_atom_site_fract_x
_atom_site_fract_y
_atom_site_fract_z
Nd1 Nd 0.0000 0.0000 0.1155
Pd1 Pd 0.0000 0.0000 0.5000
Br1 Br 0.0000 0.0000 0.2759
```

# 4
Calculated powder X-ray diffraction pattern
Compound: Ba2TlIn4Pd3
Radiation: Cu Kα (λ = 1.5418 Å)
Structure: a GGA-PBE-relaxed structure
Intensities are scaled so that the largest is 100.

Largest 6 diffraction maxima, in order of falling intensity, 5° ≤ 2θ ≤ 70°:
2θ 30.50, d 2.931, intensity 100.0, (1 1 2)
2θ 37.37, d 2.406, intensity 64.2, (2 0 0)
2θ 29.73, d 3.005, intensity 44.3, (1 0 3)
2θ 41.01, d 2.201, intensity 31.5, (1 1 4)
2θ 63.19, d 1.472, intensity 24.5, (3 1 2)
2θ 48.47, d 1.878, intensity 22.4, (2 1 3)

Atomic structure:
```
data_Ba2TlIn4Pd3
_symmetry_space_group_name_H-M 'P -4 m 2'
_symmetry_Int_Tables_number 115
_symmetry_space_group_name_Hall 'P -4 -2'
_cell_length_a 4.813
_cell_length_b 4.813
_cell_length_c 11.540
_cell_angle_alpha 90.00
_cell_angle_beta 90.00
_cell_angle_gamma 90.00
loop_
_atom_site_label
_atom_site_type_symbol
_atom_site_fract_x
_atom_site_fract_y
_atom_site_fract_z
Ba1 Ba 0.000 0.500 0.249
Tl1 Tl 0.000 0.000 0.500
In1 In 0.000 0.000 0.000
In2 In 0.000 0.500 0.642
In3 In 0.500 0.500 0.000
Pd1 Pd 0.000 0.500 0.879
Pd2 Pd 0.500 0.500 0.500
```

# 5
Calculated powder X-ray diffraction pattern
Compound: YHo2ErTh
Radiation: Cu Kα (λ = 1.5418 Å)
Structure: a GGA-PBE-relaxed structure
Intensities are scaled so that the largest is 100.

Largest 6 diffraction maxima, in order of falling intensity, 5° ≤ 2θ ≤ 70°:
2θ 30.00, d 2.978, intensity 100.0, (2 2 0)
2θ 30.14, d 2.965, intensity 98.8, (0 2 2)
2θ 33.56, d 2.671, intensity 85.5, (1 5 1)
2θ 40.06, d 2.251, intensity 80.3, (2 0 2)
2θ 25.52, d 3.491, intensity 39.8, (1 3 1)
2θ 35.49, d 2.529, intensity 38.8, (2 4 0)

Atomic structure:
```
data_YHo2ErTh
_symmetry_space_group_name_H-M 'C m c m'
_symmetry_Int_Tables_number 63
_symmetry_space_group_name_Hall '-C 2c 2'
_cell_length_a 6.383
_cell_length_b 16.587
_cell_length_c 6.349
_cell_angle_alpha 90.00
_cell_angle_beta 90.00
_cell_angle_gamma 90.00
loop_
_atom_site_label
_atom_site_type_symbol
_atom_site_fract_x
_atom_site_fract_y
_atom_site_fract_z
Y1 Y 0.000 0.157 0.250
Ho1 Ho 0.248 0.500 0.000
Er1 Er 0.000 0.262 0.750
Th1 Th 0.000 0.344 0.250
```

# 6
Calculated powder X-ray diffraction pattern
Compound: Th3GeSb
Radiation: Cu Kα (λ = 1.5418 Å)
Structure: a GGA-PBE-relaxed structure
Intensities are scaled so that the largest is 100.

Largest 6 diffraction maxima, in order of falling intensity, 5° ≤ 2θ ≤ 70°:
2θ 27.27, d 3.270, intensity 100.0, (2 -1 0)
2θ 35.19, d 2.550, intensity 45.5, (1 1 1)
2θ 42.43, d 2.130, intensity 33.9, (0 3 -1)
2θ 45.73, d 1.984, intensity 21.7, (2 -1 2)
2θ 51.18, d 1.785, intensity 18.4, (2 2 -1)
2θ 68.60, d 1.368, intensity 14.7, (1 -5 0)

Atomic structure:
```
data_Th3GeSb
_symmetry_space_group_name_H-M 'P -1'
_symmetry_Int_Tables_number 2
_symmetry_space_group_name_Hall '-P 1'
_cell_length_a 7.376
_cell_length_b 7.380
_cell_length_c 8.241
_cell_angle_alpha 90.06
_cell_angle_beta 116.52
_cell_angle_gamma 119.97
loop_
_atom_site_label
_atom_site_type_symbol
_atom_site_fract_x
_atom_site_fract_y
_atom_site_fract_z
Th1 Th 0.013 0.104 0.273
Th2 Th 0.332 0.592 0.727
Th3 Th 0.365 0.761 0.272
Ge1 Ge 0.160 0.830 0.490
Sb1 Sb 0.160 0.330 0.990
```

# 7
Calculated powder X-ray diffraction pattern
Compound: Ba2NpHgO8
Radiation: Cu Kα (λ = 1.5418 Å)
Structure: a GGA-PBE-relaxed structure
Intensities are scaled so that the largest is 100.

Largest 6 diffraction maxima, in order of falling intensity, 5° ≤ 2θ ≤ 70°:
2θ 27.64, d 3.228, intensity 100.0, (0 1 2)
2θ 23.01, d 3.865, intensity 68.2, (1 1 0)
2θ 28.76, d 3.104, intensity 60.0, (1 0 2)
2θ 26.61, d 3.350, intensity 46.1, (1 -1 0)
2θ 42.61, d 2.122, intensity 36.6, (1 2 -2)
2θ 37.26, d 2.413, intensity 25.4, (2 0 0)

Atomic structure:
```
data_Ba2NpHgO8
_symmetry_space_group_name_H-M 'P -1'
_symmetry_Int_Tables_number 2
_symmetry_space_group_name_Hall '-P 1'
_cell_length_a 4.877
_cell_length_b 5.392
_cell_length_c 8.106
_cell_angle_alpha 89.98
_cell_angle_beta 89.97
_cell_angle_gamma 81.80
loop_
_atom_site_label
_atom_site_type_symbol
_atom_site_fract_x
_atom_site_fract_y
_atom_site_fract_z
Ba1 Ba 0.000 0.000 0.242
Np1 Np 0.500 0.500 0.000
Hg1 Hg 0.500 0.500 0.500
O1 O 0.066 0.616 0.500
O2 O 0.131 0.700 0.000
O3 O 0.435 0.269 0.194
O4 O 0.436 0.269 0.805
```

# 8
Calculated powder X-ray diffraction pattern
Compound: LiAcH4
Radiation: Cu Kα (λ = 1.5418 Å)
Structure: a GGA-PBE-relaxed structure
Intensities are scaled so that the largest is 100.

Largest 6 diffraction maxima, in order of falling intensity, 5° ≤ 2θ ≤ 70°:
2θ 20.22, d 4.393, intensity 100.0, (0 0 1)
2θ 24.01, d 3.706, intensity 66.0, (0 1 0)
2θ 24.44, d 3.643, intensity 63.3, (1 0 0)
2θ 27.83, d 3.205, intensity 50.4, (0 1 1)
2θ 28.05, d 3.182, intensity 49.4, (1 0 1)
2θ 28.15, d 3.170, intensity 48.8, (1 1 0)

Atomic structure:
```
data_LiAcH4
_symmetry_space_group_name_H-M 'P 1'
_symmetry_Int_Tables_number 1
_symmetry_space_group_name_Hall 'P 1'
_cell_length_a 4.079
_cell_length_b 4.145
_cell_length_c 4.765
_cell_angle_alpha 71.18
_cell_angle_beta 70.99
_cell_angle_gamma 66.50
loop_
_atom_site_label
_atom_site_type_symbol
_atom_site_fract_x
_atom_site_fract_y
_atom_site_fract_z
Li1 Li 0.000 0.000 0.000
Ac1 Ac 0.548 0.440 0.501
H1 H 0.200 0.026 0.620
H2 H 0.478 0.100 0.087
H3 H 0.879 0.503 0.901
H4 H 0.957 0.791 0.378
```

# 9
Calculated powder X-ray diffraction pattern
Compound: PrAl2
Radiation: Cu Kα (λ = 1.5418 Å)
Structure: a GGA-PBE-relaxed structure
Intensities are scaled so that the largest is 100.

Largest 6 diffraction maxima, in order of falling intensity, 5° ≤ 2θ ≤ 70°:
2θ 36.86, d 2.438, intensity 100.0, (3 1 1)
2θ 31.28, d 2.859, intensity 96.5, (2 2 0)
2θ 19.01, d 4.669, intensity 56.3, (1 1 1)
2θ 55.68, d 1.651, intensity 37.7, (4 2 2)
2θ 59.38, d 1.556, intensity 33.0, (5 1 1)
2θ 65.26, d 1.430, intensity 22.0, (4 4 0)

Atomic structure:
a b c (Å): 8.087 8.087 8.087
angles (deg): 90.00 90.00 90.00
Space group Fd-3m (No. 227, origin choice 2)
Inequivalent atoms, fractional coordinates:
Pr (0.125, 0.125, 0.125) (multiplicity 8)
Al (0.000, 0.000, 0.500) (multiplicity 16)

# 10
Calculated powder X-ray diffraction pattern
Compound: Hf5ZrIn5
Radiation: Cu Kα (λ = 1.5418 Å)
Structure: a GGA-PBE-relaxed structure
Intensities are scaled so that the largest is 100.

Largest 6 diffraction maxima, in order of falling intensity, 5° ≤ 2θ ≤ 70°:
2θ 38.31, d 2.350, intensity 100.0, (1 3 2)
2θ 33.10, d 2.707, intensity 76.9, (2 0 0)
2θ 35.79, d 2.509, intensity 67.1, (1 5 1)
2θ 34.77, d 2.580, intensity 29.9, (1 1 2)
2θ 33.44, d 2.680, intensity 26.1, (0 6 0)
2θ 62.60, d 1.484, intensity 23.5, (3 3 2)

Atomic structure:
```
data_Hf5ZrIn5
_symmetry_space_group_name_H-M 'C m m m'
_symmetry_Int_Tables_number 65
_symmetry_space_group_name_Hall '-C 2 2'
_cell_length_a 5.413
_cell_length_b 16.079
_cell_length_c 5.971
_cell_angle_alpha 90.00
_cell_angle_beta 90.00
_cell_angle_gamma 90.00
loop_
_atom_site_label
_atom_site_type_symbol
_atom_site_fract_x
_atom_site_fract_y
_atom_site_fract_z
Hf1 Hf 0.000 0.000 0.000
Hf2 Hf 0.000 0.326 0.500
Hf3 Hf 0.000 0.398 0.000
Zr1 Zr 0.000 0.000 0.500
In1 In 0.000 0.169 0.241
In2 In 0.000 0.500 0.500
```

# 11
Calculated powder X-ray diffraction pattern
Compound: Tm4Os
Radiation: Cu Kα (λ = 1.5418 Å)
Structure: a GGA-PBE-relaxed structure
Intensities are scaled so that the largest is 100.

Largest 6 diffraction maxima, in order of falling intensity, 5° ≤ 2θ ≤ 70°:
2θ 31.16, d 2.870, intensity 100.0, (2 0 2)
2θ 33.54, d 2.672, intensity 87.2, (3 0 1)
2θ 36.31, d 2.474, intensity 59.4, (1 0 3)
2θ 39.80, d 2.265, intensity 49.6, (3 2 1)
2θ 20.81, d 4.269, intensity 38.0, (2 0 0)
2θ 40.72, d 2.216, intensity 34.6, (3 1 2)

Atomic structure:
```
data_Tm4Os
_symmetry_space_group_name_H-M 'I -4 2 d'
_symmetry_Int_Tables_number 122
_symmetry_space_group_name_Hall 'I -4 2bw'
_cell_length_a 8.539
_cell_length_b 8.539
_cell_length_c 7.755
_cell_angle_alpha 90.00
_cell_angle_beta 90.00
_cell_angle_gamma 90.00
loop_
_atom_site_label
_atom_site_type_symbol
_atom_site_fract_x
_atom_site_fract_y
_atom_site_fract_z
Tm1 Tm 0.015 0.194 0.329
Os1 Os 0.000 0.000 0.000
```

# 12
Calculated powder X-ray diffraction pattern
Compound: K6Bi2Pd
Radiation: Cu Kα (λ = 1.5418 Å)
Structure: a GGA-PBE-relaxed structure
Intensities are scaled so that the largest is 100.

Largest 6 diffraction maxima, in order of falling intensity, 5° ≤ 2θ ≤ 70°:
2θ 29.24, d 3.054, intensity 100.0, (1 1 0)
2θ 16.97, d 5.224, intensity 93.2, (1 0 1)
2θ 31.83, d 2.811, intensity 33.9, (1 0 10)
2θ 44.18, d 2.050, intensity 30.8, (1 1 12)
2θ 17.60, d 5.040, intensity 29.4, (0 1 2)
2θ 51.84, d 1.764, intensity 23.1, (3 0 0)

Atomic structure:
```
data_K6Bi2Pd
_symmetry_space_group_name_H-M 'R -3 m'
_symmetry_Int_Tables_number 166
_symmetry_space_group_name_Hall '-R 3 2"'
_cell_length_a 6.1088
_cell_length_b 6.1088
_cell_length_c 33.1837
_cell_angle_alpha 90.00
_cell_angle_beta 90.00
_cell_angle_gamma 120.00
loop_
_atom_site_label
_atom_site_type_symbol
_atom_site_fract_x
_atom_site_fract_y
_atom_site_fract_z
K1 K 0.0000 0.0000 0.0805
K2 K 0.0000 0.0000 0.1949
K3 K 0.0000 0.0000 0.3073
Bi1 Bi 0.0000 0.0000 0.4164
Pd1 Pd 0.0000 0.0000 0.5000
```

# 13
Calculated powder X-ray diffraction pattern
Compound: LiCa
Radiation: Cu Kα (λ = 1.5418 Å)
Structure: a GGA-PBE-relaxed structure
Intensities are scaled so that the largest is 100.

Largest 6 diffraction maxima, in order of falling intensity, 5° ≤ 2θ ≤ 70°:
2θ 27.93, d 3.194, intensity 100.0, (2 0 1)
2θ 22.33, d 3.981, intensity 22.7, (2 0 0)
2θ 39.20, d 2.298, intensity 22.1, (2 2 0)
2θ 19.99, d 4.442, intensity 21.6, (1 0 1)
2θ 52.49, d 1.743, intensity 18.7, (2 2 2)
2θ 19.31, d 4.597, intensity 16.7, (1 1 0)

Atomic structure:
```
data_LiCa
_symmetry_space_group_name_H-M 'P 63/m m c'
_symmetry_Int_Tables_number 194
_symmetry_space_group_name_Hall '-P 6c 2c'
_cell_length_a 9.1933
_cell_length_b 9.1933
_cell_length_c 5.3524
_cell_angle_alpha 90.00
_cell_angle_beta 90.00
_cell_angle_gamma 120.00
loop_
_atom_site_label
_atom_site_type_symbol
_atom_site_fract_x
_atom_site_fract_y
_atom_site_fract_z
Li1 Li 0.1273 0.5637 0.2500
Ca1 Ca 0.1752 0.3504 0.7500
```

# 14
Calculated powder X-ray diffraction pattern
Compound: In2H6IrRh
Radiation: Cu Kα (λ = 1.5418 Å)
Structure: a GGA-PBE-relaxed structure
Intensities are scaled so that the largest is 100.

Largest 6 diffraction maxima, in order of falling intensity, 5° ≤ 2θ ≤ 70°:
2θ 41.10, d 2.196, intensity 100.0, (1 1 3)
2θ 28.15, d 3.170, intensity 88.8, (1 1 1)
2θ 37.30, d 2.411, intensity 67.7, (2 0 0)
2θ 69.85, d 1.347, intensity 41.7, (3 1 3)
2θ 20.62, d 4.308, intensity 25.8, (0 0 2)
2θ 53.78, d 1.705, intensity 24.0, (2 2 0)

Atomic structure:
```
data_In2H6IrRh
_symmetry_space_group_name_H-M 'A m m 2'
_symmetry_Int_Tables_number 38
_symmetry_space_group_name_Hall 'A 2 -2'
_cell_length_a 4.825
_cell_length_b 4.817
_cell_length_c 8.615
_cell_angle_alpha 90.00
_cell_angle_beta 90.00
_cell_angle_gamma 90.00
loop_
_atom_site_label
_atom_site_type_symbol
_atom_site_fract_x
_atom_site_fract_y
_atom_site_fract_z
In1 In 0.000 0.000 0.000
In2 In 0.500 0.000 0.493
H1 H 0.000 0.000 0.488
H2 H 0.244 0.243 0.753
H3 H 0.500 0.000 0.984
Ir1 Ir 0.000 0.000 0.684
Rh1 Rh 0.500 0.000 0.178
```